1.
For NdTmNi8B2, a PBE-relaxed structure gives the computed PXRD pattern in this record (Cu Kα).
No peak broadening, texture or thermal motion is included.

Structure:
```
data_NdTmNi8B2
_space_group_name_H-M_alt 'P 6/m m m'
_space_group_IT_number 191
_space_group_name_Hall '-P 6 2'
_cell_length_a 5.0035
_cell_length_b 5.0035
_cell_length_c 6.9881
_cell_angle_alpha 90.00
_cell_angle_beta 90.00
_cell_angle_gamma 120.00
loop_
_atom_site_label
_atom_site_fract_x
_atom_site_fract_y
_atom_site_fract_z
Nd1 0.0000 0.0000 0.0000
Tm1 0.0000 0.0000 0.5000
Ni1 0.0000 0.5000 0.2955
Ni2 0.3333 0.6667 0.0000
B1 0.3333 0.6667 0.5000
```

Largest 12 diffraction maxima, low angle first, 15 to 90 degrees two-theta:
| 2theta | I (rel.) | index |
| --- | --- | --- |
| 20.50 | 12 | 1 0 0 |
| 32.93 | 88 | 1 0 2 |
| 35.90 | 31 | 1 1 0 |
| 41.69 | 75 | 2 0 0 |
| 43.74 | 12 | 2 0 1 |
| 44.54 | 100 | 1 1 2 |
| 52.37 | 12 | 0 0 4 |
| 62.64 | 28 | 2 1 2 |
| 65.12 | 16 | 1 1 4 |
| 69.06 | 13 | 2 0 4 |
| 70.56 | 24 | 3 0 2 |
| 76.09 | 21 | 2 2 0 |

***

2.
For NdYNi8B2, a PBE-relaxed structure gives the computed PXRD pattern in this record (Cu Kα).
No peak broadening, texture or thermal motion is included.

Structure:
```
data_NdYNi8B2
_space_group_name_H-M_alt 'P 6/m m m'
_space_group_IT_number 191
_space_group_name_Hall '-P 6 2'
_cell_length_a 5.0393
_cell_length_b 5.0393
_cell_length_c 7.0064
_cell_angle_alpha 90.00
_cell_angle_beta 90.00
_cell_angle_gamma 120.00
loop_
_atom_site_label
_atom_site_fract_x
_atom_site_fract_y
_atom_site_fract_z
Nd1 0.0000 0.0000 0.0000
Y1 0.0000 0.0000 0.5000
Ni1 0.0000 0.5000 0.2084
Ni2 0.3333 0.6667 0.5000
B1 0.3333 0.6667 0.0000
```

Largest 12 diffraction maxima, low angle first, 15 to 90 degrees two-theta:
| 2theta | I (rel.) | index |
| --- | --- | --- |
| 32.78 | 73 | 1 0 2 |
| 35.63 | 24 | 1 1 0 |
| 41.38 | 77 | 2 0 0 |
| 43.44 | 20 | 2 0 1 |
| 43.97 | 18 | 1 0 3 |
| 44.28 | 100 | 1 1 2 |
| 52.22 | 14 | 0 0 4 |
| 62.21 | 22 | 2 1 2 |
| 68.72 | 14 | 2 0 4 |
| 70.03 | 24 | 3 0 2 |
| 75.46 | 23 | 2 2 0 |
| 81.66 | 15 | 2 0 5 |